Record 1
Diffraction record for PrHo2Ga2Pt7. The powder diffractogram is calculated, not measured: it uses a cell relaxed with GGA-PBE and CuKα.
Peak positions follow from Bragg's law for the DFT cell and can differ from measured ones.

Peak list (8 most intense, 5 to 70 degrees two-theta, sorted by position)
Position (°2θ), I_rel
6.31, 360
31.88, 530
33.78, 734
35.90, 925
36.75, 1000
36.97, 225
42.22, 209
44.41, 896

Structural model:
Unit cell a=4.081 b=4.081 c=14.232 alpha=97.07 beta=97.07 gamma=89.28
Fractional positions:
Pr (0.000, 0.000, 0.000)
Ho (0.135, 0.135, 0.360)
Ho (0.865, 0.865, 0.640)
Ga (0.388, 0.388, 0.736)
Ga (0.612, 0.612, 0.264)
Pt (0.069, 0.569, 0.162)
Pt (0.351, 0.351, 0.564)
Pt (0.431, 0.931, 0.838)
Pt (0.500, 0.500, 0.000)
Pt (0.569, 0.069, 0.162)
Pt (0.649, 0.649, 0.436)
Pt (0.931, 0.431, 0.838)

***

Record 2
Diffraction record for Sm6CoI12. The powder diffractogram is calculated, not measured: it uses a cell relaxed with GGA-PBE and CuKα.
Peak positions follow from Bragg's law for the DFT cell and can differ from measured ones.

Peak list (8 most intense, 5 to 70 degrees two-theta, sorted by position)
Position (°2θ), I_rel
15.85, 268
27.47, 512
27.63, 286
30.93, 1000
32.01, 498
39.36, 255
42.68, 314
61.47, 264

Structural model:
Unit cell a=9.157 b=9.157 c=9.157 alpha=75.27 beta=75.27 gamma=75.27
Fractional positions:
Sm (0.283, 0.283, 0.680)
Sm (0.283, 0.680, 0.283)
Sm (0.320, 0.717, 0.717)
Sm (0.680, 0.283, 0.283)
Sm (0.717, 0.320, 0.717)
Sm (0.717, 0.717, 0.320)
Co (0.500, 0.500, 0.500)
I (0.054, 0.054, 0.673)
I (0.054, 0.673, 0.054)
I (0.073, 0.610, 0.610)
I (0.327, 0.946, 0.946)
I (0.390, 0.390, 0.927)
I (0.390, 0.927, 0.390)
I (0.610, 0.073, 0.610)
I (0.610, 0.610, 0.073)
I (0.673, 0.054, 0.054)
I (0.927, 0.390, 0.390)
I (0.946, 0.327, 0.946)
I (0.946, 0.946, 0.327)

***

Record 3
Diffraction record for Li8SiAu2. The powder diffractogram is calculated, not measured: it uses a cell relaxed with GGA-PBE and CuKα.
Peak positions follow from Bragg's law for the DFT cell and can differ from measured ones.

Peak list (8 most intense, 5 to 70 degrees two-theta, sorted by position)
Position (°2θ), I_rel
16.19, 310
24.70, 1000
24.77, 329
27.96, 475
29.87, 203
41.38, 419
47.48, 245
50.01, 210

Structural model:
Unit cell a=4.499 b=5.982 c=7.745 alpha=112.68 beta=106.74 gamma=90.04
Fractional positions:
Li (0.000, 0.000, 0.000)
Li (0.018, 0.510, 0.039)
Li (0.235, 0.050, 0.465)
Li (0.333, 0.798, 0.668)
Li (0.434, 0.254, 0.870)
Li (0.651, 0.140, 0.298)
Li (0.669, 0.668, 0.336)
Li (0.832, 0.515, 0.668)
Si (0.834, 0.057, 0.668)
Au (0.175, 0.407, 0.345)
Au (0.494, 0.730, 0.991)

***

Record 4
Diffraction record for Cs3KO6. The powder diffractogram is calculated, not measured: it uses a cell relaxed with GGA-PBE and CuKα.
Peak positions follow from Bragg's law for the DFT cell and can differ from measured ones.

Peak list (8 most intense, 5 to 70 degrees two-theta, sorted by position)
Position (°2θ), I_rel
12.72, 296
25.33, 855
25.61, 854
28.44, 371
28.63, 1000
33.88, 453
43.08, 275
44.45, 355

Structural model:
Unit cell a=8.536 b=8.536 c=8.536 alpha=109.17 beta=109.17 gamma=109.17
Fractional positions:
Cs (0.213, 0.750, 0.287)
Cs (0.250, 0.713, 0.787)
Cs (0.287, 0.213, 0.750)
Cs (0.713, 0.787, 0.250)
Cs (0.750, 0.287, 0.213)
Cs (0.787, 0.250, 0.713)
K (0.000, 0.000, 0.000)
K (0.500, 0.500, 0.500)
O (0.021, 0.151, 0.366)
O (0.134, 0.349, 0.479)
O (0.151, 0.366, 0.021)
O (0.349, 0.479, 0.134)
O (0.366, 0.021, 0.151)
O (0.479, 0.134, 0.349)
O (0.521, 0.866, 0.651)
O (0.634, 0.979, 0.849)
O (0.651, 0.521, 0.866)
O (0.849, 0.634, 0.979)
O (0.866, 0.651, 0.521)
O (0.979, 0.849, 0.634)

***

Record 5
Diffraction record for Er2GaHg2. The powder diffractogram is calculated, not measured: it uses a cell relaxed with GGA-PBE and CuKα.
Peak positions follow from Bragg's law for the DFT cell and can differ from measured ones.

Peak list (8 most intense, 5 to 70 degrees two-theta, sorted by position)
Position (°2θ), I_rel
31.10, 309
31.91, 345
32.07, 1000
32.47, 455
35.50, 245
38.09, 678
38.63, 226
41.51, 411

Structural model:
Unit cell a=5.945 b=5.945 c=10.981 alpha=113.59 beta=113.59 gamma=42.93
Fractional positions:
Er (0.003, 0.003, 0.330)
Er (0.183, 0.183, 0.106)
Er (0.817, 0.817, 0.894)
Er (0.997, 0.997, 0.670)
Ga (0.288, 0.288, 0.684)
Ga (0.712, 0.712, 0.316)
Hg (0.350, 0.350, 0.447)
Hg (0.456, 0.456, 0.112)
Hg (0.544, 0.544, 0.888)
Hg (0.650, 0.650, 0.553)

***

Record 6
Diffraction record for Mg2H2Ir5. The powder diffractogram is calculated, not measured: it uses a cell relaxed with GGA-PBE and CuKα.
Peak positions follow from Bragg's law for the DFT cell and can differ from measured ones.

Peak list (8 most intense, 5 to 70 degrees two-theta, sorted by position)
Position (°2θ), I_rel
16.80, 460
20.43, 1000
38.22, 439
39.44, 620
40.48, 617
41.54, 611
42.81, 531
44.26, 477

Structural model:
Unit cell a=5.281 b=5.281 c=4.351 alpha=91.62 beta=91.62 gamma=89.59
Fractional positions:
Mg (0.212, 0.212, 0.007)
Mg (0.788, 0.788, 0.993)
H (0.637, 0.182, 0.716)
H (0.818, 0.363, 0.284)
Ir (0.046, 0.592, 0.493)
Ir (0.309, 0.691, 0.000)
Ir (0.408, 0.954, 0.507)
Ir (0.534, 0.466, 0.500)
Ir (0.909, 0.091, 0.500)

***

Record 7
Diffraction record for K4Hg3F10. The powder diffractogram is calculated, not measured: it uses a cell relaxed with GGA-PBE and CuKα.
Peak positions follow from Bragg's law for the DFT cell and can differ from measured ones.

Peak list (8 most intense, 5 to 70 degrees two-theta, sorted by position)
Position (°2θ), I_rel
16.94, 393
19.40, 772
27.26, 615
27.70, 1000
38.94, 418
42.21, 238
48.46, 442
57.22, 222

Structural model:
Unit cell a=16.035 b=16.035 c=16.035 alpha=163.41 beta=163.41 gamma=23.54
Fractional positions:
K (0.070, 0.070, 0.000)
K (0.201, 0.201, 0.000)
K (0.799, 0.799, 0.000)
K (0.930, 0.930, 0.000)
Hg (0.354, 0.354, 0.000)
Hg (0.500, 0.500, 0.000)
Hg (0.646, 0.646, 0.000)
F (0.000, 0.500, 0.500)
F (0.143, 0.643, 0.500)
F (0.282, 0.282, 0.000)
F (0.357, 0.857, 0.500)
F (0.427, 0.427, 0.000)
F (0.500, 0.000, 0.500)
F (0.573, 0.573, 0.000)
F (0.643, 0.143, 0.500)
F (0.718, 0.718, 0.000)
F (0.857, 0.357, 0.500)

***

Record 8
Diffraction record for AlP3NO10. The powder diffractogram is calculated, not measured: it uses a cell relaxed with GGA-PBE and CuKα.
Peak positions follow from Bragg's law for the DFT cell and can differ from measured ones.

Peak list (8 most intense, 5 to 70 degrees two-theta, sorted by position)
Position (°2θ), I_rel
12.30, 1000
16.29, 620
19.43, 165
21.30, 139
23.89, 191
24.07, 613
30.54, 259
32.94, 239

Structural model:
Unit cell a=7.783 b=5.035 c=11.766 alpha=90.00 beta=112.40 gamma=90.00
Fractional positions:
Al (0.000, 0.000, 0.000)
Al (0.000, 0.000, 0.500)
P (0.000, 0.233, 0.250)
P (0.000, 0.767, 0.750)
P (0.232, 0.497, 0.478)
P (0.232, 0.503, 0.978)
P (0.768, 0.497, 0.022)
P (0.768, 0.503, 0.522)
N (0.500, 0.031, 0.250)
N (0.500, 0.969, 0.750)
O (0.073, 0.081, 0.169)
O (0.073, 0.919, 0.669)
O (0.157, 0.299, 0.543)
O (0.157, 0.701, 0.043)
O (0.160, 0.433, 0.332)
O (0.160, 0.567, 0.832)
O (0.203, 0.213, 0.993)
O (0.203, 0.787, 0.493)
O (0.450, 0.413, 0.529)
O (0.450, 0.587, 0.029)
O (0.550, 0.413, 0.971)
O (0.550, 0.587, 0.471)
O (0.797, 0.213, 0.507)
O (0.797, 0.787, 0.007)
O (0.840, 0.433, 0.168)
O (0.840, 0.567, 0.668)
O (0.843, 0.299, 0.957)
O (0.843, 0.701, 0.457)
O (0.927, 0.081, 0.331)
O (0.927, 0.919, 0.831)

***

Record 9
Diffraction record for PrCd9Cu2. The powder diffractogram is calculated, not measured: it uses a cell relaxed with GGA-PBE and CuKα.
Peak positions follow from Bragg's law for the DFT cell and can differ from measured ones.

Peak list (8 most intense, 5 to 70 degrees two-theta, sorted by position)
Position (°2θ), I_rel
30.03, 123
34.21, 1000
37.13, 165
39.19, 97
40.36, 599
42.23, 154
61.27, 208
68.90, 124

Structural model:
Unit cell a=9.076 b=9.076 c=9.076 alpha=99.63 beta=99.63 gamma=131.72
Fractional positions:
Pr (0.375, 0.625, 0.750)
Pr (0.625, 0.375, 0.250)
Cd (0.125, 0.875, 0.250)
Cd (0.129, 0.560, 0.327)
Cd (0.129, 0.802, 0.569)
Cd (0.198, 0.267, 0.327)
Cd (0.198, 0.871, 0.931)
Cd (0.267, 0.198, 0.827)
Cd (0.267, 0.440, 0.069)
Cd (0.440, 0.267, 0.569)
Cd (0.440, 0.871, 0.173)
Cd (0.560, 0.129, 0.827)
Cd (0.560, 0.733, 0.431)
Cd (0.733, 0.560, 0.931)
Cd (0.733, 0.802, 0.173)
Cd (0.802, 0.129, 0.069)
Cd (0.802, 0.733, 0.673)
Cd (0.871, 0.198, 0.431)
Cd (0.871, 0.440, 0.673)
Cd (0.875, 0.125, 0.750)
Cu (0.000, 0.000, 0.000)
Cu (0.000, 0.000, 0.500)
Cu (0.000, 0.500, 0.000)
Cu (0.500, 0.000, 0.500)

***

Record 10
Diffraction record for AcLa2Pm2Tm. The powder diffractogram is calculated, not measured: it uses a cell relaxed with GGA-PBE and CuKα.
Peak positions follow from Bragg's law for the DFT cell and can differ from measured ones.

Peak list (8 most intense, 5 to 70 degrees two-theta, sorted by position)
Position (°2θ), I_rel
30.15, 977
30.57, 1000
43.47, 363
49.90, 86
54.03, 257
54.17, 194
54.38, 133
59.66, 302

Structural model:
Unit cell a=7.310 b=5.839 c=10.149 alpha=90.00 beta=90.00 gamma=90.00
Fractional positions:
Ac (0.000, 0.000, 0.000)
Ac (0.500, 0.000, 0.000)
La (0.000, 0.500, 0.500)
La (0.250, 0.000, 0.335)
La (0.500, 0.500, 0.500)
La (0.750, 0.000, 0.665)
Pm (0.250, 0.000, 0.665)
Pm (0.250, 0.500, 0.170)
Pm (0.750, 0.000, 0.335)
Pm (0.750, 0.500, 0.830)
Tm (0.250, 0.500, 0.833)
Tm (0.750, 0.500, 0.167)

***

Record 11
Diffraction record for MnB2S6. The powder diffractogram is calculated, not measured: it uses a cell relaxed with GGA-PBE and CuKα.
Peak positions follow from Bragg's law for the DFT cell and can differ from measured ones.

Peak list (8 most intense, 5 to 70 degrees two-theta, sorted by position)
Position (°2θ), I_rel
12.58, 868
18.67, 434
26.82, 444
32.48, 348
34.56, 670
38.57, 486
39.57, 1000
55.70, 392

Structural model:
Unit cell a=7.179 b=7.179 c=5.832 alpha=98.63 beta=98.63 gamma=81.47
Fractional positions:
Mn (0.113, 0.887, 0.750)
Mn (0.887, 0.113, 0.250)
B (0.213, 0.361, 0.656)
B (0.361, 0.213, 0.156)
B (0.639, 0.787, 0.844)
B (0.787, 0.639, 0.344)
S (0.026, 0.191, 0.625)
S (0.102, 0.594, 0.826)
S (0.191, 0.026, 0.125)
S (0.276, 0.428, 0.370)
S (0.406, 0.898, 0.674)
S (0.428, 0.276, 0.870)
S (0.572, 0.724, 0.130)
S (0.594, 0.102, 0.326)
S (0.724, 0.572, 0.630)
S (0.809, 0.974, 0.875)
S (0.898, 0.406, 0.174)
S (0.974, 0.809, 0.375)

***

Record 12
Diffraction record for La3Tb4Sm3. The powder diffractogram is calculated, not measured: it uses a cell relaxed with GGA-PBE and CuKα.
Peak positions follow from Bragg's law for the DFT cell and can differ from measured ones.

Peak list (8 most intense, 5 to 70 degrees two-theta, sorted by position)
Position (°2θ), I_rel
25.95, 123
29.08, 600
30.29, 298
31.69, 1000
33.27, 164
54.12, 187
56.75, 150
58.02, 171

Structural model:
Unit cell a=3.716 b=9.710 c=9.710 alpha=90.08 beta=90.00 gamma=90.00
Fractional positions:
La (0.000, 0.000, 0.000)
La (0.500, 0.175, 0.671)
La (0.500, 0.671, 0.175)
Tb (0.500, 0.054, 0.301)
Tb (0.500, 0.301, 0.054)
Tb (0.500, 0.551, 0.551)
Tb (0.500, 0.795, 0.795)
Sm (0.000, 0.349, 0.349)
Sm (0.000, 0.500, 0.847)
Sm (0.000, 0.847, 0.500)